# La7Er3
Calculated XRD peak list, Cu Kα, 1.54184 Å. Input: a DFT-relaxed cell (PBE, Alexandria).
Intensities are scaled so that the largest is 100.

Crystal structure
abc: 9.8379 9.8379 7.2326
angles: 111.54 111.54 33.05
Fractional coordinates of all 10 atoms:
La: 0.0000 0.0000 0.0000
La: 0.1976 0.1976 0.6981
La: 0.3932 0.3932 0.1442
La: 0.3937 0.3937 0.6416
La: 0.6063 0.6063 0.3584
La: 0.6068 0.6068 0.8558
La: 0.8024 0.8024 0.3019
Er: 0.0000 0.0000 0.5000
Er: 0.1992 0.1992 0.2003
Er: 0.8008 0.8008 0.7997

Top 10 peaks for 10° ≤ 2θ ≤ 90°, low angle first:
| 2θ/deg | I (rel.) |
| --- | --- |
| 29.9 | 85 |
| 30.2 | 100 |
| 32.0 | 44 |
| 32.2 | 37 |
| 39.8 | 17 |
| 46.0 | 28 |
| 51.9 | 16 |
| 55.9 | 18 |
| 56.4 | 15 |
| 60.0 | 28 |